Record 1
The following is a simulated powder diffraction line list of Sr2ZrClF. It was derived from a cell relaxed with PBE, using Cu Ka.

Structure:
a = 5.6115 Å, b = 5.6115 Å, c = 5.4568 Å
α = 90.00°, β = 90.00°, γ = 90.00°
Element x y z (fractional)
Sr (0.0000, 0.5000, 0.0000)
Sr (0.5000, 0.0000, 0.0000)
Zr (0.0000, 0.0000, 0.5000)
Cl (0.5000, 0.5000, 0.0000)
F (0.5000, 0.5000, 0.5000)

Principal peaks in the range 15 to 90 degrees two-theta, in order of rising 2θ:
2θ 22.73, rel. 32
2θ 27.80, rel. 100
2θ 31.90, rel. 58
2θ 32.83, rel. 27
2θ 46.42, rel. 39
2θ 54.37, rel. 30

Record 2
The following is a simulated powder diffraction line list of LiDy2NpO6. It was derived from a cell relaxed with PBE, using Cu Ka.

Structure:
a = 6.0197 Å, b = 6.0197 Å, c = 6.0197 Å
α = 57.02°, β = 57.02°, γ = 57.02°
Element x y z (fractional)
Li (0.0000, 0.0000, 0.0000)
Dy (0.2687, 0.2687, 0.2687)
Dy (0.7758, 0.7758, 0.7758)
Np (0.4794, 0.4794, 0.4794)
O (0.1032, 0.6696, 0.3833)
O (0.1953, 0.5771, 0.8592)
O (0.3833, 0.1032, 0.6696)
O (0.5771, 0.8592, 0.1953)
O (0.6696, 0.3833, 0.1032)
O (0.8592, 0.1953, 0.5771)

Principal peaks in the range 15 to 90 degrees two-theta, in order of rising 2θ:
2θ 18.78, rel. 66
2θ 29.74, rel. 94
2θ 31.13, rel. 100
2θ 43.59, rel. 39
2θ 48.12, rel. 45
2θ 54.53, rel. 39

Record 3
The following is a simulated powder diffraction line list of NaZn2H3S2O8. It was derived from a cell relaxed with PBE, using Cu Ka.

Structure:
a = 6.3952 Å, b = 7.9234 Å, c = 8.9878 Å
α = 100.03°, β = 109.62°, γ = 112.26°
Element x y z (fractional)
Na (0.0737, 0.1724, 0.4132)
Na (0.9263, 0.8276, 0.5868)
Zn (0.0000, 0.0000, 0.0000)
Zn (0.3113, 0.8252, 0.3050)
Zn (0.5000, 0.0000, 0.0000)
Zn (0.6887, 0.1748, 0.6950)
H (0.0498, 0.5601, 0.7653)
H (0.1105, 0.7190, 0.9911)
H (0.2022, 0.4439, 0.2330)
H (0.7978, 0.5561, 0.7670)
H (0.8895, 0.2810, 0.0089)
H (0.9502, 0.4399, 0.2347)
S (0.2612, 0.2562, 0.7998)
S (0.4348, 0.7004, 0.6516)
S (0.5652, 0.2996, 0.3484)
S (0.7388, 0.7438, 0.2002)
O (0.0068, 0.8230, 0.3439)
O (0.0908, 0.5053, 0.2060)
O (0.2102, 0.8552, 0.0686)
O (0.2289, 0.0802, 0.8664)
O (0.2922, 0.2546, 0.2355)
O (0.3203, 0.7444, 0.7706)
O (0.4082, 0.2479, 0.6977)
O (0.4729, 0.8638, 0.5730)
O (0.5271, 0.1362, 0.4270)
O (0.5918, 0.7521, 0.3023)
O (0.6797, 0.2556, 0.2294)
O (0.7078, 0.7454, 0.7645)
O (0.7711, 0.9198, 0.1336)
O (0.7898, 0.1448, 0.9314)
O (0.9092, 0.4947, 0.7940)
O (0.9932, 0.1770, 0.6561)

Principal peaks in the range 15 to 90 degrees two-theta, in order of rising 2θ:
2θ 19.77, rel. 63
2θ 27.83, rel. 66
2θ 31.18, rel. 31
2θ 31.37, rel. 53
2θ 31.72, rel. 100
2θ 57.52, rel. 34

Record 4
The following is a simulated powder diffraction line list of Pu5Ag3Hg3. It was derived from a cell relaxed with PBE, using Cu Ka.

Structure:
a = 10.2839 Å, b = 10.2839 Å, c = 2.9916 Å
α = 90.00°, β = 90.00°, γ = 120.00°
Element x y z (fractional)
Pu (0.0000, 0.6590, 0.0000)
Pu (0.3333, 0.6667, 0.0000)
Pu (0.3410, 0.3410, 0.0000)
Pu (0.6590, 0.0000, 0.0000)
Pu (0.6667, 0.3333, 0.0000)
Ag (0.0000, 0.1560, 0.0000)
Ag (0.1560, 0.0000, 0.0000)
Ag (0.8440, 0.8440, 0.0000)
Hg (0.0000, 0.3918, 0.5000)
Hg (0.3918, 0.0000, 0.5000)
Hg (0.6082, 0.6082, 0.5000)

Principal peaks in the range 15 to 90 degrees two-theta, in order of rising 2θ:
2θ 30.10, rel. 100
2θ 34.69, rel. 78
2θ 36.37, rel. 42
2θ 40.33, rel. 28
2θ 46.58, rel. 43
2θ 70.87, rel. 20

Record 5
The following is a simulated powder diffraction line list of Sr2Be2B2O7. It was derived from a cell relaxed with PBE, using Cu Ka.

Structure:
a = 4.7291 Å, b = 4.7291 Å, c = 15.5854 Å
α = 90.00°, β = 90.00°, γ = 120.00°
Element x y z (fractional)
Sr (0.0000, 0.0000, 0.0000)
Sr (0.0000, 0.0000, 0.2500)
Sr (0.0000, 0.0000, 0.5000)
Sr (0.0000, 0.0000, 0.7500)
Be (0.3333, 0.6667, 0.1013)
Be (0.3333, 0.6667, 0.3987)
Be (0.3333, 0.6667, 0.6013)
Be (0.3333, 0.6667, 0.8987)
B (0.6667, 0.3333, 0.1353)
B (0.6667, 0.3333, 0.3647)
B (0.6667, 0.3333, 0.6353)
B (0.6667, 0.3333, 0.8647)
O (0.3333, 0.6667, 0.0000)
O (0.3333, 0.6667, 0.5000)
O (0.3930, 0.0246, 0.1364)
O (0.3930, 0.0246, 0.3636)
O (0.3930, 0.3684, 0.6364)
O (0.3930, 0.3684, 0.8636)
O (0.6316, 0.0246, 0.6364)
O (0.6316, 0.0246, 0.8636)
O (0.6316, 0.6070, 0.1364)
O (0.6316, 0.6070, 0.3636)
O (0.9754, 0.3684, 0.1364)
O (0.9754, 0.3684, 0.3636)
O (0.9754, 0.6070, 0.6364)
O (0.9754, 0.6070, 0.8636)

Principal peaks in the range 15 to 90 degrees two-theta, in order of rising 2θ:
2θ 21.70, rel. 58
2θ 31.70, rel. 100
2θ 38.06, rel. 24
2θ 44.23, rel. 18
2θ 44.84, rel. 41
2θ 64.81, rel. 21

Record 6
The following is a simulated powder diffraction line list of SrSmPt10. It was derived from a cell relaxed with PBE, using Cu Ka.

Structure:
a = 4.4200 Å, b = 5.4627 Å, c = 9.4003 Å
α = 90.00°, β = 90.00°, γ = 90.00°
Element x y z (fractional)
Sr (0.0000, 0.0000, 0.0000)
Sm (0.0000, 0.5000, 0.5000)
Pt (0.0000, 0.0000, 0.3370)
Pt (0.0000, 0.0000, 0.6630)
Pt (0.0000, 0.5000, 0.1711)
Pt (0.0000, 0.5000, 0.8289)
Pt (0.5000, 0.0000, 0.5000)
Pt (0.5000, 0.2523, 0.2541)
Pt (0.5000, 0.2523, 0.7459)
Pt (0.5000, 0.5000, 0.0000)
Pt (0.5000, 0.7477, 0.2541)
Pt (0.5000, 0.7477, 0.7459)

Principal peaks in the range 15 to 90 degrees two-theta, in order of rising 2θ:
2θ 18.82, rel. 66
2θ 38.76, rel. 51
2θ 38.90, rel. 100
2θ 40.83, rel. 53
2θ 43.45, rel. 65
2θ 43.62, rel. 31

Record 7
The following is a simulated powder diffraction line list of BaUTlS4. It was derived from a cell relaxed with PBE, using Cu Ka.

Structure:
a = 8.7236 Å, b = 8.7236 Å, c = 8.7236 Å
α = 145.24°, β = 145.24°, γ = 49.98°
Element x y z (fractional)
Ba (0.0000, 0.0000, 0.0000)
U (0.6425, 0.6425, 0.0000)
Tl (0.2869, 0.2869, 0.0000)
S (0.1331, 0.6331, 0.5000)
S (0.4795, 0.4795, 0.0000)
S (0.6331, 0.1331, 0.5000)
S (0.8020, 0.8020, 0.0000)

Principal peaks in the range 15 to 90 degrees two-theta, in order of rising 2θ:
2θ 24.01, rel. 100
2θ 24.15, rel. 74
2θ 34.42, rel. 46
2θ 42.40, rel. 47
2θ 49.17, rel. 23
2θ 55.75, rel. 26

Record 8
The following is a simulated powder diffraction line list of Sm2Cd2Ga. It was derived from a cell relaxed with PBE, using Cu Ka.

Structure:
a = 6.0000 Å, b = 6.0000 Å, c = 6.2383 Å
α = 95.69°, β = 95.69°, γ = 38.21°
Element x y z (fractional)
Sm (0.1899, 0.1899, 0.2197)
Sm (0.8101, 0.8101, 0.7803)
Cd (0.0841, 0.0841, 0.6926)
Cd (0.9159, 0.9159, 0.3074)
Ga (0.5000, 0.5000, 0.0000)

Principal peaks in the range 15 to 90 degrees two-theta, in order of rising 2θ:
2θ 23.99, rel. 69
2θ 28.46, rel. 67
2θ 32.99, rel. 66
2θ 35.05, rel. 100
2θ 36.36, rel. 75
2θ 38.47, rel. 92

Record 9
The following is a simulated powder diffraction line list of Pm3ErTh3. It was derived from a cell relaxed with PBE, using Cu Ka.

Structure:
a = 9.5786 Å, b = 9.5786 Å, c = 5.8718 Å
α = 90.00°, β = 90.00°, γ = 120.00°
Element x y z (fractional)
Pm (0.0446, 0.8012, 0.2500)
Pm (0.1988, 0.2434, 0.2500)
Pm (0.2434, 0.0446, 0.7500)
Pm (0.7565, 0.9554, 0.2500)
Pm (0.8012, 0.7565, 0.7500)
Pm (0.9554, 0.1988, 0.7500)
Er (0.3333, 0.6667, 0.2500)
Er (0.6667, 0.3333, 0.7500)
Th (0.1046, 0.6146, 0.7500)
Th (0.3854, 0.4901, 0.7500)
Th (0.4901, 0.1046, 0.2500)
Th (0.5099, 0.8954, 0.7500)
Th (0.6146, 0.5099, 0.2500)
Th (0.8954, 0.3854, 0.2500)

Principal peaks in the range 15 to 90 degrees two-theta, in order of rising 2θ:
2θ 28.47, rel. 23
2θ 30.45, rel. 26
2θ 32.37, rel. 100
2θ 50.41, rel. 20
2θ 55.33, rel. 22
2θ 60.04, rel. 22

Record 10
The following is a simulated powder diffraction line list of Pr3Sm5Tl. It was derived from a cell relaxed with PBE, using Cu Ka.

Structure:
a = 7.0271 Å, b = 7.0271 Å, c = 13.7173 Å
α = 90.24°, β = 90.24°, γ = 71.89°
Element x y z (fractional)
Pr (0.0000, 0.0000, 0.0000)
Pr (0.0000, 0.0000, 0.5000)
Pr (0.2361, 0.2361, 0.8704)
Pr (0.3664, 0.3664, 0.5071)
Pr (0.6336, 0.6336, 0.4929)
Pr (0.7639, 0.7639, 0.1296)
Sm (0.0165, 0.4767, 0.3345)
Sm (0.2424, 0.2424, 0.1211)
Sm (0.3284, 0.6716, 0.0000)
Sm (0.4767, 0.0165, 0.3345)
Sm (0.4990, 0.4990, 0.2534)
Sm (0.5010, 0.5010, 0.7466)
Sm (0.5233, 0.9835, 0.6655)
Sm (0.6716, 0.3284, 0.0000)
Sm (0.7576, 0.7576, 0.8789)
Sm (0.9835, 0.5233, 0.6655)
Tl (0.0045, 0.0045, 0.2599)
Tl (0.9955, 0.9955, 0.7401)

Principal peaks in the range 15 to 90 degrees two-theta, in order of rising 2θ:
2θ 27.49, rel. 86
2θ 29.16, rel. 91
2θ 29.75, rel. 73
2θ 30.37, rel. 98
2θ 30.51, rel. 100
2θ 31.45, rel. 94

Record 11
The following is a simulated powder diffraction line list of Ca2Tl8Bi. It was derived from a cell relaxed with PBE, using Cu Ka.

Structure:
a = 8.6351 Å, b = 8.6351 Å, c = 5.7198 Å
α = 104.24°, β = 104.24°, γ = 69.52°
Element x y z (fractional)
Ca (0.1386, 0.1386, 0.0601)
Ca (0.8614, 0.8614, 0.9399)
Tl (0.2110, 0.6455, 0.7078)
Tl (0.2535, 0.2535, 0.6429)
Tl (0.3545, 0.7890, 0.2922)
Tl (0.3905, 0.3905, 0.2332)
Tl (0.6095, 0.6095, 0.7668)
Tl (0.6455, 0.2110, 0.7078)
Tl (0.7465, 0.7465, 0.3571)
Tl (0.7890, 0.3545, 0.2922)
Bi (0.0000, 0.0000, 0.5000)

Principal peaks in the range 15 to 90 degrees two-theta, in order of rising 2θ:
2θ 25.26, rel. 46
2θ 30.02, rel. 60
2θ 32.24, rel. 100
2θ 32.78, rel. 80
2θ 36.50, rel. 67
2θ 40.32, rel. 50

Record 12
The following is a simulated powder diffraction line list of TbPr2Er6Sc3. It was derived from a cell relaxed with PBE, using Cu Ka.

Structure:
a = 6.0632 Å, b = 6.0632 Å, c = 11.4828 Å
α = 95.05°, β = 95.05°, γ = 119.99°
Element x y z (fractional)
Tb (0.0000, 0.0000, 0.0000)
Pr (0.3331, 0.6669, 0.0000)
Pr (0.6669, 0.3331, 0.0000)
Er (0.0873, 0.4200, 0.2621)
Er (0.2452, 0.2452, 0.7380)
Er (0.4200, 0.0873, 0.2621)
Er (0.5800, 0.9127, 0.7379)
Er (0.7548, 0.7548, 0.2620)
Er (0.9127, 0.5800, 0.7379)
Sc (0.1663, 0.8337, 0.5000)
Sc (0.5000, 0.5000, 0.5000)
Sc (0.8337, 0.1663, 0.5000)

Principal peaks in the range 15 to 90 degrees two-theta, in order of rising 2θ:
2θ 31.34, rel. 100
2θ 31.66, rel. 31
2θ 36.44, rel. 65
2θ 52.26, rel. 24
2θ 52.69, rel. 21
2θ 62.41, rel. 26